1.
Starting from a GGA-PBE-relaxed structure, the powder XRD pattern of MnGePt6 was computed for CuKα.
No peak broadening, texture or thermal motion is included.

Largest 12 diffraction maxima, by angle, 15 to 90 degrees two-theta:
2θ 22.38, I = 4.0
2θ 22.55, I = 7.9
2θ 31.98, I = 6.7
2θ 39.49, I = 100.0
2θ 45.68, I = 16.6
2θ 46.04, I = 32.5
2θ 51.81, I = 3.7
2θ 66.87, I = 21.4
2θ 67.15, I = 10.6
2θ 80.27, I = 12.9
2θ 80.79, I = 25.6
2θ 85.01, I = 11.4

Crystal structure
abc: 3.9428 3.9428 7.9441
angles: 90.00 90.00 90.00
Element x y z (fractional)
1 Mn 0.0000 0.0000 0.0000
2 Ge 0.0000 0.0000 0.5000
3 Pt 0.0000 0.5000 0.2471
4 Pt 0.0000 0.5000 0.7529
5 Pt 0.5000 0.0000 0.2471
6 Pt 0.5000 0.0000 0.7529
7 Pt 0.5000 0.5000 0.0000
8 Pt 0.5000 0.5000 0.5000



2.
Starting from a GGA-PBE-relaxed structure, the powder XRD pattern of MnGe2Pt6 was computed for CuKα.
No peak broadening, texture or thermal motion is included.

Largest 12 diffraction maxima, by angle, 15 to 90 degrees two-theta:
2θ 25.83, I = 15.1
2θ 36.85, I = 100.0
2θ 39.92, I = 43.1
2θ 45.56, I = 38.4
2θ 48.16, I = 6.2
2θ 53.08, I = 13.9
2θ 59.97, I = 16.9
2θ 68.43, I = 14.3
2θ 72.49, I = 19.5
2θ 74.47, I = 9.4
2θ 86.08, I = 6.3
2θ 89.91, I = 8.6

Crystal structure
abc: 3.4507 6.8946 6.8946
angles: 119.91 90.00 90.00
Element x y z (fractional)
1 Mn 0.0000 0.0000 0.0000
2 Ge 0.5000 0.3336 0.6667
3 Ge 0.5000 0.6667 0.3336
4 Pt 0.0000 0.3756 0.9990
5 Pt 0.0000 0.6238 0.6238
6 Pt 0.0000 0.9990 0.3756
7 Pt 0.5000 0.0000 0.7156
8 Pt 0.5000 0.2843 0.2843
9 Pt 0.5000 0.7156 0.0000



3.
Starting from a GGA-PBE-relaxed structure, the powder XRD pattern of PuMn4Ge was computed for CuKα.
No peak broadening, texture or thermal motion is included.

Largest 12 diffraction maxima, by angle, 15 to 90 degrees two-theta:
2θ 22.29, I = 33.4
2θ 25.79, I = 22.0
2θ 36.80, I = 63.0
2θ 43.45, I = 100.0
2θ 45.49, I = 17.8
2θ 58.22, I = 10.0
2θ 59.88, I = 8.0
2θ 66.29, I = 23.2
2θ 70.89, I = 31.0
2θ 78.29, I = 19.6
2θ 82.64, I = 7.3
2θ 89.79, I = 10.8

Crystal structure
abc: 4.8846 4.8846 4.8846
angles: 60.00 60.00 60.00
Element x y z (fractional)
1 Pu 0.0000 0.0000 0.0000
2 Mn 0.1323 0.6226 0.6226
3 Mn 0.6226 0.1323 0.6226
4 Mn 0.6226 0.6226 0.1323
5 Mn 0.6226 0.6226 0.6226
6 Ge 0.2500 0.2500 0.2500



4.
Starting from a GGA-PBE-relaxed structure, the powder XRD pattern of Pu3Mn2Ge3 was computed for CuKα.
No peak broadening, texture or thermal motion is included.

Largest 12 diffraction maxima, by angle, 15 to 90 degrees two-theta:
2θ 23.62, I = 19.7
2θ 24.90, I = 22.7
2θ 32.17, I = 15.4
2θ 32.83, I = 85.1
2θ 34.46, I = 100.0
2θ 35.98, I = 28.3
2θ 37.52, I = 21.2
2θ 37.68, I = 16.6
2θ 43.34, I = 29.7
2θ 56.85, I = 12.5
2θ 57.55, I = 14.9
2θ 72.84, I = 13.8

Crystal structure
abc: 5.9731 5.9731 13.9440
angles: 90.00 90.00 139.08
Element x y z (fractional)
1 Pu 0.0694 0.9306 0.6199
2 Pu 0.0694 0.9306 0.8801
3 Pu 0.3824 0.6176 0.7500
4 Pu 0.6176 0.3824 0.2500
5 Pu 0.9306 0.0694 0.1199
6 Pu 0.9306 0.0694 0.3801
7 Mn 0.2232 0.7768 0.0770
8 Mn 0.2232 0.7768 0.4230
9 Mn 0.7768 0.2232 0.5770
10 Mn 0.7768 0.2232 0.9230
11 Ge 0.3122 0.6878 0.2500
12 Ge 0.3884 0.6116 0.5405
13 Ge 0.3884 0.6116 0.9595
14 Ge 0.6116 0.3884 0.0405
15 Ge 0.6116 0.3884 0.4595
16 Ge 0.6878 0.3122 0.7500